Diffraction record for Mg2GePtO6. The powder XRD pattern is theoretical, not measured: it uses a cell relaxed with GGA-PBE and λ = 1.5418 Å (Cu Kα).

Principal peaks in the range 2θ = 10–90°, sorted by position:
d (Å), intensity, (hkl)
5.293, 39, 1 0 0
4.409, 82, 0 0 1
3.743, 93, 1 1 0
3.388, 34, 1 0 1
2.854, 100, 1 1 1
2.647, 49, 2 0 0
1.900, 43, 1 1 2
1.871, 36, 2 2 0
1.565, 34, 3 1 1
1.333, 26, 3 1 2

Structural model:
```
data_Mg2GePtO6
_chemical_formula_sum 'Mg2 Ge1 Pt1 O6'
_symmetry_space_group_name_H-M 'P 4 m m'
_symmetry_Int_Tables_number 99
_cell_length_a 5.2933
_cell_length_b 5.2933
_cell_length_c 4.4094
_cell_angle_alpha 90.00
_cell_angle_beta 90.00
_cell_angle_gamma 90.00
loop_
_symmetry_equiv_pos_as_xyz
'x,y,z'
'-y,x,z'
'-x,-y,z'
'y,-x,z'
'-x,y,z'
'y,x,z'
'x,-y,z'
'-y,-x,z'
loop_
_atom_site_label
_atom_site_fract_x
_atom_site_fract_y
_atom_site_fract_z
Mg1 0.0000 0.5000 0.0000
Ge1 0.0000 0.0000 0.6242
Pt1 0.5000 0.5000 0.6926
O1 0.0000 0.0000 0.2351
O2 0.2374 0.2374 0.7801
O3 0.5000 0.5000 0.2135
```